No. 1
Pr6Sb5P: simulated powder diffractogram (Cu Ka), based on DFT lattice parameters and positions (PBE).
Lines closer than 0.1° are merged.

Atomic structure:
abc: 7.7953 7.7953 7.7934
angles: 99.62 99.62 119.93
Positions (direct):
Pr: 0.0800 0.3995 0.7408
Pr: 0.2377 0.2377 0.2553
Pr: 0.3995 0.0800 0.7408
Pr: 0.6005 0.9200 0.2592
Pr: 0.7623 0.7623 0.7447
Pr: 0.9200 0.6005 0.2592
Sb: 0.1715 0.8285 0.0000
Sb: 0.3341 0.6659 0.5000
Sb: 0.5000 0.5000 0.0000
Sb: 0.6659 0.3341 0.5000
Sb: 0.8285 0.1715 0.0000
P: 0.0000 0.0000 0.5000

Top 10 peaks for 2θ from 5° to 70°, sorted by position:
- 24.2°, d 3.684, rel. 1.6
- 24.2°, d 3.674, rel. 2.8
- 27.6°, d 3.228, rel. 1.3
- 28.0°, d 3.183, rel. 100.0
- 30.6°, d 2.920, rel. 0.9
- 40.1°, d 2.250, rel. 75.4
- 47.4°, d 1.919, rel. 1.8
- 49.6°, d 1.838, rel. 26.6
- 58.0°, d 1.591, rel. 12.3
- 65.6°, d 1.423, rel. 33.4

No. 2
Pr6SbP3Se2: simulated powder diffractogram (Cu Ka), based on DFT lattice parameters and positions (PBE).
Lines closer than 0.1° are merged.

Atomic structure:
abc: 9.6239 9.6239 8.6249
angles: 103.84 103.84 25.62
Positions (direct):
Pr: 0.0028 0.0028 0.2354
Pr: 0.3275 0.3275 0.4250
Pr: 0.3375 0.3375 0.9061
Pr: 0.6625 0.6625 0.0939
Pr: 0.6725 0.6725 0.5750
Pr: 0.9972 0.9972 0.7646
Sb: 0.5000 0.5000 0.5000
P: 0.1665 0.1665 0.3318
P: 0.5000 0.5000 0.0000
P: 0.8335 0.8335 0.6682
Se: 0.1685 0.1685 0.8366
Se: 0.8315 0.8315 0.1634

Top 10 peaks for 2θ from 5° to 70°, sorted by position:
- 25.1°, d 3.541, rel. 6.7
- 25.5°, d 3.489, rel. 21.5
- 29.5°, d 3.033, rel. 100.0
- 32.1°, d 2.788, rel. 7.1
- 41.9°, d 2.156, rel. 35.9
- 42.4°, d 2.133, rel. 37.4
- 52.4°, d 1.745, rel. 19.5
- 61.1°, d 1.516, rel. 11.6
- 68.9°, d 1.362, rel. 14.6
- 69.6°, d 1.350, rel. 16.5

No. 3
Pr2ThScP4: simulated powder diffractogram (Cu Ka), based on DFT lattice parameters and positions (PBE).
Lines closer than 0.1° are merged.

Atomic structure:
abc: 7.0461 4.1010 7.1109
angles: 90.00 109.42 90.00
Positions (direct):
Pr: 0.0000 0.0000 0.0000
Pr: 0.5000 0.5000 0.0000
Th: 0.0000 0.5000 0.5000
Sc: 0.5000 0.0000 0.5000
P: 0.2555 0.0000 0.7373
P: 0.2653 0.5000 0.2694
P: 0.7347 0.5000 0.7306
P: 0.7445 0.0000 0.2627

Top 10 peaks for 2θ from 5° to 70°, sorted by position:
- 13.3°, d 6.645, rel. 13.9
- 26.6°, d 3.347, rel. 57.9
- 26.8°, d 3.323, rel. 19.0
- 30.9°, d 2.893, rel. 100.0
- 44.1°, d 2.052, rel. 36.8
- 44.3°, d 2.045, rel. 12.0
- 44.5°, d 2.038, rel. 24.1
- 52.3°, d 1.749, rel. 16.3
- 52.5°, d 1.744, rel. 12.7
- 54.9°, d 1.672, rel. 12.8